Simulated powder X-ray diffraction pattern
Compound: AcMoPt
Radiation: Cu Kα (weighted mean of Kα1 and Kα2)
Structure: a cell relaxed with GGA-PBE
Kinematic intensities with the Lorentz-polarization factor, no thermal factor.

The 6 most intense peaks (15° ≤ 2θ ≤ 90°), in order of rising 2θ:
3.020 Å, I = 212; 2.621 Å, I = 717; 2.534 Å, I = 1000; 1.854 Å, I = 261; 1.496 Å, I = 403; 1.172 Å, I = 120

Cell lengths 3.7072, 3.7072, 10.4147 Å; angles 90.00, 90.00, 90.00 degrees
Atoms (fractional coordinates):
Ac 0.0000 0.0000 0.1794
Ac 0.0000 0.0000 0.8206
Mo 0.5000 0.5000 0.3941
Mo 0.5000 0.5000 0.6059
Pt 0.0000 0.0000 0.5000
Pt 0.5000 0.5000 0.0000

Simulated powder X-ray diffraction pattern
Compound: SbPt5Rh4
Radiation: Cu Kα (weighted mean of Kα1 and Kα2)
Structure: a cell relaxed with GGA-PBE
Kinematic intensities with the Lorentz-polarization factor, no thermal factor.

The 6 most intense peaks (15° ≤ 2θ ≤ 90°), in order of rising 2θ:
2.295 Å, I = 507; 2.285 Å, I = 1000; 2.275 Å, I = 495; 2.000 Å, I = 338; 1.988 Å, I = 334; 1.950 Å, I = 313

Cell lengths 4.7969, 5.6059, 6.3018 Å; angles 76.56, 74.95, 74.22 degrees
Atoms (fractional coordinates):
Sb 0.0000 0.0000 0.0000
Pt 0.0000 0.5000 0.0000
Pt 0.2023 0.8005 0.5898
Pt 0.4047 0.5963 0.2004
Pt 0.5953 0.4037 0.7996
Pt 0.7977 0.1995 0.4102
Rh 0.1996 0.2990 0.6008
Rh 0.4001 0.0990 0.2021
Rh 0.5999 0.9010 0.7979
Rh 0.8004 0.7010 0.3992

Simulated powder X-ray diffraction pattern
Compound: NaMg2InBr6
Radiation: Cu Kα (weighted mean of Kα1 and Kα2)
Structure: a cell relaxed with GGA-PBE
Kinematic intensities with the Lorentz-polarization factor, no thermal factor.

The 6 most intense peaks (15° ≤ 2θ ≤ 90°), in order of rising 2θ:
4.433 Å, I = 294; 3.671 Å, I = 542; 3.137 Å, I = 1000; 3.028 Å, I = 511; 2.186 Å, I = 508; 2.171 Å, I = 387

Cell lengths 9.9311, 9.9311, 7.3789 Å; angles 96.93, 96.93, 88.39 degrees
Atoms (fractional coordinates):
Na 0.2235 0.7765 0.7500
Na 0.7765 0.2235 0.2500
Mg 0.1124 0.2812 0.7798
Mg 0.2812 0.1124 0.2798
Mg 0.7188 0.8876 0.7202
Mg 0.8876 0.7188 0.2202
In 0.4008 0.5992 0.2500
In 0.5992 0.4008 0.7500
Br 0.0729 0.2113 0.0956
Br 0.1067 0.6552 0.3898
Br 0.2113 0.0729 0.5956
Br 0.2719 0.4761 0.8321
Br 0.3448 0.8933 0.1102
Br 0.4761 0.2719 0.3321
Br 0.5239 0.7281 0.6679
Br 0.6552 0.1067 0.8898
Br 0.7281 0.5239 0.1679
Br 0.7887 0.9271 0.4044
Br 0.8933 0.3448 0.6102
Br 0.9271 0.7887 0.9044

Simulated powder X-ray diffraction pattern
Compound: K2In3AgSe6
Radiation: Cu Kα (weighted mean of Kα1 and Kα2)
Structure: a cell relaxed with GGA-PBE
Kinematic intensities with the Lorentz-polarization factor, no thermal factor.

The 6 most intense peaks (15° ≤ 2θ ≤ 90°), in order of rising 2θ:
3.773 Å, I = 1000; 3.162 Å, I = 563; 3.147 Å, I = 562; 2.141 Å, I = 230; 2.136 Å, I = 402; 2.099 Å, I = 456

Cell lengths 8.3948, 8.3948, 21.7438 Å; angles 95.79, 95.79, 90.09 degrees
Atoms (fractional coordinates):
K 0.1082 0.7043 0.9174
K 0.2437 0.3945 0.5825
K 0.2957 0.8918 0.5826
K 0.3945 0.2437 0.0825
K 0.6055 0.7563 0.9175
K 0.7043 0.1082 0.4174
K 0.7563 0.6055 0.4175
K 0.8918 0.2957 0.0826
In 0.0607 0.9393 0.7500
In 0.1494 0.7763 0.1114
In 0.2219 0.3499 0.3878
In 0.2237 0.8506 0.3886
In 0.3499 0.2219 0.8878
In 0.4329 0.5671 0.2500
In 0.5671 0.4329 0.7500
In 0.6501 0.7781 0.1122
In 0.7763 0.1494 0.6114
In 0.7781 0.6501 0.6122
In 0.8506 0.2237 0.8886
In 0.9393 0.0607 0.2500
Ag 0.0630 0.4339 0.7499
Ag 0.4339 0.0630 0.2499
Ag 0.5661 0.9370 0.7501
Ag 0.9370 0.5661 0.2501
Se 0.0614 0.1611 0.6741
Se 0.0618 0.6737 0.6752
Se 0.1199 0.2905 0.9602
Se 0.1611 0.0614 0.1741
Se 0.1707 0.5256 0.1746
Se 0.1919 0.6188 0.4599
Se 0.2905 0.1199 0.4602
Se 0.3263 0.9382 0.8248
Se 0.3410 0.4733 0.8251
Se 0.3812 0.8081 0.0401
Se 0.4733 0.3410 0.3251
Se 0.4744 0.8293 0.3254
Se 0.5256 0.1707 0.6746
Se 0.5267 0.6590 0.6749
Se 0.6188 0.1919 0.9599
Se 0.6590 0.5267 0.1749
Se 0.6737 0.0618 0.1752
Se 0.7095 0.8801 0.5398
Se 0.8081 0.3812 0.5401
Se 0.8293 0.4744 0.8254
Se 0.8389 0.9386 0.8259
Se 0.8801 0.7095 0.0398
Se 0.9382 0.3263 0.3248
Se 0.9386 0.8389 0.3259

Simulated powder X-ray diffraction pattern
Compound: CsTiCu2I8
Radiation: Cu Kα (weighted mean of Kα1 and Kα2)
Structure: a cell relaxed with GGA-PBE
Kinematic intensities with the Lorentz-polarization factor, no thermal factor.

The 6 most intense peaks (15° ≤ 2θ ≤ 90°), in order of rising 2θ:
3.543 Å, I = 477; 3.368 Å, I = 771; 3.234 Å, I = 502; 3.206 Å, I = 1000; 3.158 Å, I = 799; 1.999 Å, I = 471

Cell lengths 7.0579, 7.0579, 10.9370 Å; angles 100.38, 100.38, 67.41 degrees
Atoms (fractional coordinates):
Cs 0.0000 0.0000 0.0000
Ti 0.0000 0.0000 0.5000
Cu 0.3893 0.3893 0.7015
Cu 0.6107 0.6107 0.2985
I 0.2075 0.7161 0.3131
I 0.2343 0.2343 0.4963
I 0.2839 0.7925 0.6869
I 0.3379 0.3379 0.9129
I 0.6621 0.6621 0.0871
I 0.7161 0.2075 0.3131
I 0.7657 0.7657 0.5037
I 0.7925 0.2839 0.6869

Simulated powder X-ray diffraction pattern
Compound: Zn2Cd3Ag7
Radiation: Cu Kα (weighted mean of Kα1 and Kα2)
Structure: a cell relaxed with GGA-PBE
Kinematic intensities with the Lorentz-polarization factor, no thermal factor.

The 6 most intense peaks (15° ≤ 2θ ≤ 90°), in order of rising 2θ:
2.400 Å, I = 391; 2.356 Å, I = 1000; 2.212 Å, I = 265; 2.194 Å, I = 297; 1.510 Å, I = 233; 1.391 Å, I = 243

Cell lengths 9.4147, 9.4147, 9.4147 Å; angles 34.38, 34.38, 34.38 degrees
Atoms (fractional coordinates):
Zn 0.1666 0.1666 0.1666
Zn 0.8334 0.8334 0.8334
Cd 0.3530 0.3530 0.3530
Cd 0.5000 0.5000 0.5000
Cd 0.6470 0.6470 0.6470
Ag 0.0000 0.0000 0.0000
Ag 0.0830 0.0830 0.5787
Ag 0.0830 0.5787 0.0830
Ag 0.4213 0.9170 0.9170
Ag 0.5787 0.0830 0.0830
Ag 0.9170 0.4213 0.9170
Ag 0.9170 0.9170 0.4213